Entry 1:
The following is a simulated powder X-ray diffraction pattern of Ce2Si7Ni12. It was derived from a DFT-relaxed cell (PBE, Alexandria), using copper Kα.
Neutral-atom scattering factors, no anomalous dispersion.

Atomic structure:
a = 9.2038 Å, b = 9.2038 Å, c = 3.7504 Å
α = 90.00°, β = 90.00°, γ = 120.00°
Fractional positions:
Ce (0.0000, 0.0000, 0.0000)
Ce (0.3333, 0.6667, 0.5000)
Si (0.0536, 0.4480, 0.0000)
Si (0.2676, 0.2370, 0.5000)
Si (0.3944, 0.9464, 0.0000)
Si (0.5520, 0.6056, 0.0000)
Si (0.6667, 0.3333, 0.0000)
Si (0.7630, 0.0306, 0.5000)
Si (0.9694, 0.7324, 0.5000)
Ni (0.0356, 0.2800, 0.5000)
Ni (0.1167, 0.7271, 0.0000)
Ni (0.2444, 0.9644, 0.5000)
Ni (0.2729, 0.3896, 0.0000)
Ni (0.3887, 0.1907, 0.0000)
Ni (0.5593, 0.4278, 0.5000)
Ni (0.5722, 0.1315, 0.5000)
Ni (0.6104, 0.8833, 0.0000)
Ni (0.7200, 0.7556, 0.5000)
Ni (0.8020, 0.6113, 0.0000)
Ni (0.8093, 0.1980, 0.0000)
Ni (0.8685, 0.4407, 0.5000)

Peak list (8 most intense, 10° ≤ 2θ ≤ 90°, in order of rising 2θ)
d_spacing  two_theta  Rel. int.
3.013  29.7  11
2.349  38.3  100
2.211  40.8  12
1.904  47.8  13
1.875  48.6  20
1.739  52.6  13
1.644  55.9  11
1.276  74.4  13



Entry 2:
The following is a simulated powder X-ray diffraction pattern of Ce2Si5Ni17. It was derived from a DFT-relaxed cell (PBE, Alexandria), using copper Kα.
Neutral-atom scattering factors, no anomalous dispersion.

Atomic structure:
a = 7.6124 Å, b = 7.6124 Å, c = 7.6124 Å
α = 99.58°, β = 99.58°, γ = 131.84°
Fractional positions:
Ce (0.0000, 0.0000, 0.0000)
Ce (0.7500, 0.2500, 0.5000)
Si (0.3623, 0.6273, 0.7350)
Si (0.3727, 0.1076, 0.7350)
Si (0.3727, 0.6377, 0.2650)
Si (0.5000, 0.5000, 0.0000)
Si (0.8924, 0.6273, 0.2650)
Ni (0.1206, 0.1936, 0.6809)
Ni (0.1206, 0.4397, 0.9270)
Ni (0.1808, 0.3521, 0.4193)
Ni (0.1808, 0.7615, 0.8287)
Ni (0.2385, 0.0672, 0.4193)
Ni (0.2385, 0.8192, 0.1713)
Ni (0.2500, 0.7500, 0.5000)
Ni (0.5127, 0.1936, 0.0730)
Ni (0.5127, 0.4397, 0.3191)
Ni (0.5603, 0.4873, 0.6809)
Ni (0.5603, 0.8794, 0.0730)
Ni (0.6479, 0.0672, 0.8287)
Ni (0.6479, 0.8192, 0.5807)
Ni (0.8064, 0.4873, 0.9270)
Ni (0.8064, 0.8794, 0.3191)
Ni (0.9328, 0.3521, 0.1713)
Ni (0.9328, 0.7615, 0.5807)

Peak list (8 most intense, 10° ≤ 2θ ≤ 90°, in order of rising 2θ)
d_spacing  two_theta  Rel. int.
2.898  30.9  15
2.496  36.0  18
2.226  40.5  11
2.197  41.1  100
2.026  44.7  18
1.874  48.6  25
1.794  50.9  11
1.269  74.8  18



Entry 3:
The following is a simulated powder X-ray diffraction pattern of Ce3Si2Ni6. It was derived from a DFT-relaxed cell (PBE, Alexandria), using copper Kα.
Neutral-atom scattering factors, no anomalous dispersion.

Atomic structure:
a = 7.6317 Å, b = 7.6317 Å, c = 7.6317 Å
α = 109.47°, β = 109.47°, γ = 109.47°
Fractional positions:
Ce (0.0000, 0.2811, 0.2811)
Ce (0.0000, 0.7189, 0.7189)
Ce (0.2811, 0.0000, 0.2811)
Ce (0.2811, 0.2811, 0.0000)
Ce (0.7189, 0.0000, 0.7189)
Ce (0.7189, 0.7189, 0.0000)
Si (0.0000, 0.0000, 0.5000)
Si (0.0000, 0.5000, 0.0000)
Si (0.5000, 0.0000, 0.0000)
Si (0.5000, 0.5000, 0.5000)
Ni (0.0000, 0.3374, 0.6626)
Ni (0.0000, 0.6626, 0.3374)
Ni (0.3252, 0.6626, 0.6626)
Ni (0.3374, 0.0000, 0.6626)
Ni (0.3374, 0.3374, 0.6748)
Ni (0.3374, 0.6626, 0.0000)
Ni (0.3374, 0.6748, 0.3374)
Ni (0.6626, 0.0000, 0.3374)
Ni (0.6626, 0.3252, 0.6626)
Ni (0.6626, 0.3374, 0.0000)
Ni (0.6626, 0.6626, 0.3252)
Ni (0.6748, 0.3374, 0.3374)

Peak list (8 most intense, 10° ≤ 2θ ≤ 90°, in order of rising 2θ)
d_spacing  two_theta  Rel. int.
2.787  32.1  30
2.544  35.3  31
2.355  38.2  35
2.203  41.0  20
2.077  43.6  100
1.430  65.3  19
1.329  70.9  19
1.199  80.0  21



Entry 4:
The following is a simulated powder X-ray diffraction pattern of Ce2Si9Ni17. It was derived from a DFT-relaxed cell (PBE, Alexandria), using copper Kα.
Neutral-atom scattering factors, no anomalous dispersion.

Atomic structure:
a = 8.0346 Å, b = 7.8917 Å, c = 7.8348 Å
α = 61.45°, β = 59.63°, γ = 58.93°
Fractional positions:
Ce (0.2500, 0.2500, 0.2500)
Ce (0.7500, 0.7500, 0.7500)
Si (0.0000, 0.0000, 0.0000)
Si (0.0596, 0.6970, 0.3030)
Si (0.2096, 0.5571, 0.7904)
Si (0.3030, 0.9404, 0.0596)
Si (0.4429, 0.7904, 0.5571)
Si (0.5571, 0.2096, 0.4429)
Si (0.6970, 0.0596, 0.9404)
Si (0.7904, 0.4429, 0.2096)
Si (0.9404, 0.3030, 0.6970)
Ni (0.0577, 0.3121, 0.9423)
Ni (0.0592, 0.9408, 0.7146)
Ni (0.1886, 0.4410, 0.5590)
Ni (0.2031, 0.7969, 0.4357)
Ni (0.2854, 0.7146, 0.9408)
Ni (0.3121, 0.0577, 0.6879)
Ni (0.4357, 0.5643, 0.2031)
Ni (0.4410, 0.1886, 0.8114)
Ni (0.5000, 0.5000, 0.5000)
Ni (0.5590, 0.8114, 0.1886)
Ni (0.5643, 0.4357, 0.7969)
Ni (0.6879, 0.9423, 0.3121)
Ni (0.7146, 0.2854, 0.0592)
Ni (0.7969, 0.2031, 0.5643)
Ni (0.8114, 0.5590, 0.4410)
Ni (0.9408, 0.0592, 0.2854)
Ni (0.9423, 0.6879, 0.0577)

Peak list (8 most intense, 10° ≤ 2θ ≤ 90°, in order of rising 2θ)
d_spacing  two_theta  Rel. int.
2.860  31.3  40
2.531  35.5  50
2.453  36.6  60
2.310  39.0  48
2.294  39.3  100
2.251  40.1  98
1.912  47.6  55
1.907  47.7  62